Simulated PXRD pattern of La3PmNi3 for a wavelength of 1.5418 Å, from a cell relaxed with GGA-PBE.

Main lines, in order of falling intensity (2θ from 5° to 70°):
34.91 deg, intensity 100; 25.60 deg, intensity 83; 38.06 deg, intensity 72; 35.03 deg, intensity 69; 32.39 deg, intensity 60; 30.18 deg, intensity 57; 31.30 deg, intensity 51; 28.60 deg, intensity 45

Structure:
a = 9.5098 Å, b = 10.2459 Å, c = 7.1992 Å
α = 90.00°, β = 94.29°, γ = 90.00°
Space group C2/m (No. 12)
Unique sites:
La: 0.0000 0.1878 0.0000 x4
La: 0.0000 0.2577 0.5000 x4
La: 0.1703 0.5000 0.8783 x4
Pm: 0.2401 0.0000 0.6247 x4
Ni: 0.0578 0.0000 0.2990 x4
Ni: 0.2329 0.2117 0.3005 x8

Simulated PXRD pattern of Li4HoIn15 for a wavelength of 1.5418 Å, from a cell relaxed with GGA-PBE.

Main lines, in order of falling intensity (2θ from 5° to 70°):
33.95 deg, intensity 100; 40.03 deg, intensity 32; 68.84 deg, intensity 24; 56.47 deg, intensity 22; 38.13 deg, intensity 18; 66.25 deg, intensity 13; 57.89 deg, intensity 10; 19.71 deg, intensity 8

Structure:
a = 4.5053 Å, b = 4.5053 Å, c = 23.5997 Å
α = 90.00°, β = 90.00°, γ = 90.00°
Space group P4/mmm (No. 123)
Unique sites:
Li: 0.0000 0.0000 0.0973 x2
Li: 0.0000 0.0000 0.3022 x2
Ho: 0.0000 0.0000 0.5000 x1
In: 0.0000 0.5000 0.0000 x2
In: 0.0000 0.5000 0.1987 x4
In: 0.0000 0.5000 0.3961 x4
In: 0.5000 0.5000 0.0985 x2
In: 0.5000 0.5000 0.2994 x2
In: 0.5000 0.5000 0.5000 x1